Record 1
Structure and computed PXRD pattern of La2U3Se8 (a cell relaxed with GGA-PBE; Cu Kα X-rays).
Peak positions follow from Bragg's law for the DFT cell and can differ from measured ones.

Cell and atoms:
Lattice parameters (Å, degrees): 9.9446 14.4106 4.9692 90.00 90.00 90.00
Space group Cmmm (No. 65)
Unique sites:
La: 0.0000 0.2346 0.0000
U: 0.0000 0.5000 0.0000
U: 0.2344 0.0000 0.5000
Se: 0.0000 0.1207 0.5000
Se: 0.0000 0.3866 0.5000
Se: 0.2382 0.3812 0.0000

Top 10 peaks for 10 to 90 degrees two-theta, by angle:
hkl  2θ/deg  I_rel
1 1 0  10.81  11
0 2 0  12.28  28
0 2 1  21.72  35
2 4 1  35.69  100
0 0 2  36.14  50
2 2 2  42.56  12
4 0 2  52.04  17
0 8 2  63.82  16
2 4 3  64.70  35
4 8 2  75.60  11


Record 2
Structure and computed PXRD pattern of La2YSe (a cell relaxed with GGA-PBE; Cu Kα X-rays).
Peak positions follow from Bragg's law for the DFT cell and can differ from measured ones.

Cell and atoms:
Lattice parameters (Å, degrees): 3.9862 3.9862 29.4542 90.00 90.00 120.00
Space group R-3m (No. 166, hexagonal axes)
Unique sites:
La: 0.0000 0.0000 0.2337
Y: 0.0000 0.0000 0.0000
Se: 0.0000 0.0000 0.5000

Top 10 peaks for 10 to 90 degrees two-theta, by angle:
hkl  2θ/deg  I_rel
0 0 9  27.25  11
1 0 4  28.56  100
0 1 5  30.00  10
1 0 7  33.58  10
0 1 8  35.65  40
0 1 11  42.74  10
1 1 0  45.51  31
0 2 4  54.61  16
0 1 17  59.75  15
2 1 4  73.75  13


Record 3
Structure and computed PXRD pattern of La2YSe (a cell relaxed with GGA-PBE; Cu Kα X-rays).
Peak positions follow from Bragg's law for the DFT cell and can differ from measured ones.

Cell and atoms:
Lattice parameters (Å, degrees): 13.3937 3.6945 5.4344 90.00 113.25 90.00
Space group Cm (No. 8)
Unique sites:
La: 0.0000 0.0000 0.0000
La: 0.1960 0.0000 0.6970
Y: 0.2982 0.5000 0.2973
Se: 0.4873 0.0000 0.4892

Top 10 peaks for 10 to 90 degrees two-theta, by angle:
hkl  2θ/deg  I_rel
1 1 0  25.17  21
2 0 1  27.08  28
4 0 -1  27.40  28
4 0 0  29.02  31
1 1 1  32.63  100
3 1 -1  32.82  88
2 0 -2  32.97  54
6 0 0  44.20  41
0 2 0  49.33  17
2 2 -2  60.62  18


Record 4
Structure and computed PXRD pattern of LaY6Se8 (a cell relaxed with GGA-PBE; Cu Kα X-rays).
Peak positions follow from Bragg's law for the DFT cell and can differ from measured ones.

Cell and atoms:
Lattice parameters (Å, degrees): 11.5660 11.5660 11.5660 90.00 90.00 90.00
Space group Fm-3m (No. 225)
Unique sites:
La: 0.0000 0.0000 0.0000
Y: 0.0000 0.2500 0.2500
Se: 0.0000 0.0000 0.2616
Se: 0.2500 0.2500 0.2500

Top 10 peaks for 10 to 90 degrees two-theta, by angle:
hkl  2θ/deg  I_rel
1 1 1  13.26  6
3 1 1  25.54  8
4 0 0  30.93  100
3 3 1  33.78  7
4 4 0  44.30  72
4 4 4  55.01  25
7 3 1  61.59  4
8 0 0  64.45  11
8 4 0  73.19  31
8 4 4  81.55  23


Record 5
Structure and computed PXRD pattern of La2YSe4 (a cell relaxed with GGA-PBE; Cu Kα X-rays).
Peak positions follow from Bragg's law for the DFT cell and can differ from measured ones.

Cell and atoms:
Lattice parameters (Å, degrees): 4.0654 14.2711 14.2037 90.00 90.00 90.00
Space group Cmcm (No. 63)
Unique sites:
La: 0.0000 0.1303 0.0735
Y: 0.0000 0.3719 0.2500
Se: 0.0000 0.0166 0.2500
Se: 0.0000 0.2191 0.6264
Se: 0.0000 0.5000 0.0000

Top 10 peaks for 10 to 90 degrees two-theta, by angle:
hkl  2θ/deg  I_rel
0 2 3  22.54  87
0 2 4  28.06  55
1 3 0  28.89  29
1 3 1  29.58  65
1 3 2  31.57  100
1 1 5  39.20  51
1 5 2  40.66  39
0 6 3  42.53  45
2 0 0  44.58  36
2 6 3  63.30  35


Record 6
Structure and computed PXRD pattern of La4ZnSe3 (a cell relaxed with GGA-PBE; Cu Kα X-rays).
Peak positions follow from Bragg's law for the DFT cell and can differ from measured ones.

Cell and atoms:
Lattice parameters (Å, degrees): 6.1370 6.1370 12.2799 90.00 90.00 90.00
Space group I4/mmm (No. 139)
Unique sites:
La: 0.0000 0.0000 0.2461
La: 0.0000 0.5000 0.0000
Zn: 0.0000 0.0000 0.5000
Se: 0.0000 0.0000 0.0000
Se: 0.0000 0.5000 0.2500

Top 10 peaks for 10 to 90 degrees two-theta, by angle:
hkl  2θ/deg  I_rel
1 1 2  25.13  14
2 0 0  29.10  100
2 2 0  41.62  75
3 1 2  49.24  7
2 2 4  51.58  27
4 0 0  60.32  12
3 3 2  66.39  3
4 2 0  68.35  34
4 2 4  75.95  25
5 1 2  81.48  2


- Which formula does entry 4 have?
  LaY6Se8